Entry 1:
The following is a simulated powder XRD pattern of KRbHgO2. It was derived from DFT lattice parameters and positions (PBE), using a wavelength of 1.5418 Å.
Kinematic intensities with the Lorentz-polarization factor, no thermal factor.

Structure:
a b c (Å): 8.315 8.315 6.534
angles (deg): 90.00 90.00 125.33
Element x y z (fractional)
K  0.250  0.250  0.000
K  0.750  0.750  0.000
Rb  0.250  0.750  0.679
Rb  0.750  0.250  0.321
Hg  0.000  0.000  0.500
Hg  0.500  0.500  0.500
O  0.075  0.925  0.756
O  0.425  0.575  0.756
O  0.575  0.425  0.244
O  0.925  0.075  0.244

Peak list (12 most intense, 2θ from 15° to 90°, by angle)
Position (°2θ), d (Å), Rel. int.
18.13, 4.894, 45
18.86, 4.706, 57
23.29, 3.819, 73
24.10, 3.693, 87
27.05, 3.297, 100
27.75, 3.215, 46
29.67, 3.011, 85
29.91, 2.988, 76
33.76, 2.655, 41
36.53, 2.460, 96
49.75, 1.833, 62
57.22, 1.610, 50


Entry 2:
The following is a simulated powder XRD pattern of SmHo2Tm2Sc2. It was derived from DFT lattice parameters and positions (PBE), using a wavelength of 1.5418 Å.
Kinematic intensities with the Lorentz-polarization factor, no thermal factor.

Structure:
a b c (Å): 8.726 8.726 8.131
angles (deg): 116.04 116.04 22.32
Element x y z (fractional)
Sm  0.000  0.000  0.000
Ho  0.427  0.427  0.584
Ho  0.573  0.573  0.416
Tm  0.212  0.212  0.292
Tm  0.788  0.788  0.708
Sc  0.348  0.348  0.106
Sc  0.652  0.652  0.894

Peak list (12 most intense, 2θ from 15° to 90°, by angle)
Position (°2θ), d (Å), Rel. int.
28.62, 3.119, 64
31.57, 2.834, 100
33.78, 2.654, 40
35.16, 2.553, 55
36.96, 2.432, 43
39.73, 2.269, 30
46.27, 1.962, 15
55.30, 1.661, 18
57.26, 1.609, 14
64.21, 1.451, 26
64.95, 1.436, 15
65.52, 1.425, 12


Entry 3:
The following is a simulated powder XRD pattern of AcScNbO6. It was derived from DFT lattice parameters and positions (PBE), using a wavelength of 1.5418 Å.
Kinematic intensities with the Lorentz-polarization factor, no thermal factor.

Structure:
a b c (Å): 5.071 5.071 10.299
angles (deg): 90.00 90.00 90.00
Element x y z (fractional)
Ac  0.000  0.000  0.000
Ac  0.500  0.500  0.500
Sc  0.000  0.000  0.331
Sc  0.500  0.500  0.831
Nb  0.000  0.000  0.666
Nb  0.500  0.500  0.166
O  0.168  0.168  0.502
O  0.205  0.205  0.795
O  0.220  0.220  0.189
O  0.280  0.720  0.689
O  0.295  0.705  0.295
O  0.332  0.668  0.002
O  0.668  0.332  0.002
O  0.705  0.295  0.295
O  0.720  0.280  0.689
O  0.780  0.780  0.189
O  0.795  0.795  0.795
O  0.832  0.832  0.502

Peak list (12 most intense, 2θ from 15° to 90°, by angle)
Position (°2θ), d (Å), Rel. int.
17.22, 5.150, 15
19.51, 4.549, 50
24.83, 3.586, 100
30.38, 2.943, 22
31.47, 2.843, 85
35.40, 2.536, 23
40.74, 2.215, 20
48.08, 1.892, 68
50.93, 1.793, 17
57.47, 1.604, 16
59.72, 1.548, 17
61.11, 1.516, 20


Entry 4:
The following is a simulated powder XRD pattern of BaTlCdSb2. It was derived from DFT lattice parameters and positions (PBE), using a wavelength of 1.5418 Å.
Kinematic intensities with the Lorentz-polarization factor, no thermal factor.

Structure:
a b c (Å): 7.225 7.225 9.982
angles (deg): 99.55 99.55 44.89
Element x y z (fractional)
Ba  0.169  0.169  0.209
Ba  0.831  0.831  0.791
Tl  0.122  0.122  0.561
Tl  0.878  0.878  0.439
Cd  0.451  0.451  0.253
Cd  0.549  0.549  0.747
Sb  0.116  0.116  0.853
Sb  0.359  0.359  0.549
Sb  0.641  0.641  0.451
Sb  0.884  0.884  0.147

Peak list (12 most intense, 2θ from 15° to 90°, by angle)
Position (°2θ), d (Å), Rel. int.
24.30, 3.662, 31
25.98, 3.430, 59
27.19, 3.280, 96
29.60, 3.018, 25
30.20, 2.959, 49
31.45, 2.844, 100
32.46, 2.759, 89
35.07, 2.559, 36
40.69, 2.217, 40
42.81, 2.112, 36
44.92, 2.018, 33
48.53, 1.876, 35